For Li12ZnCd2, the PBE geometry in Alexandria gives the simulated X-ray powder pattern in this record (copper Kα).
Kinematic intensities with the Lorentz-polarization factor, no thermal factor.

Cell and atoms:
abc: 5.479 5.479 19.736
angles: 90.00 90.00 90.00
Space group P4/nbm (No. 125, origin choice 2)
Inequivalent atoms, fractional coordinates:
Li 0.000 0.000 0.095 x8
Li 0.070 0.570 0.437 x8
Li 0.250 0.250 0.210 x4
Li 0.250 0.250 0.338 x4
Zn 0.250 0.750 0.000 x2
Cd 0.250 0.750 0.285 x4

Most intense lines, 15 to 90 degrees two-theta, in order of rising 2θ:
hkl 0 0 4, 2θ 17.98, I 44.1; hkl 1 1 0, 2θ 22.95, I 100.0; hkl 1 1 2, 2θ 24.69, I 29.6; hkl 1 1 3, 2θ 26.70, I 74.1; hkl 1 1 4, 2θ 29.31, I 63.8; hkl 2 0 0, 2θ 32.69, I 41.9; hkl 2 0 3, 2θ 35.49, I 40.9; hkl 2 0 4, 2θ 37.55, I 36.8; hkl 1 1 7, 2θ 39.53, I 61.3; hkl 2 0 7, 2θ 46.20, I 29.9